Starting from DFT lattice parameters and positions (PBE), the powder XRD pattern of CeBH was simulated for Cu Ka.

a = 3.7362 Å, b = 4.1656 Å, c = 5.2366 Å
α = 90.00°, β = 90.71°, γ = 90.00°
Space group P2_1/m (No. 11)
Unique sites:
Ce 0.2105 0.2500 0.2468 (multiplicity 2)
B 0.3352 0.2500 0.7589 (multiplicity 2)
H 0.4013 0.7500 0.3999 (multiplicity 2)

Main lines, in order of rising 2θ (10 to 90 degrees two-theta):
2θ = 27.36°, d = 3.260 Å, rel. 100, hkl 0 1 1; 2θ = 29.19°, d = 3.059 Å, rel. 43, hkl 1 0 -1; 2θ = 29.54°, d = 3.024 Å, rel. 39, hkl 1 0 1; 2θ = 32.18°, d = 2.781 Å, rel. 78, hkl 1 1 0; 2θ = 34.25°, d = 2.618 Å, rel. 36, hkl 0 0 2; 2θ = 43.45°, d = 2.083 Å, rel. 19, hkl 0 2 0; 2θ = 47.47°, d = 1.915 Å, rel. 27, hkl 1 1 -2; 2θ = 47.94°, d = 1.898 Å, rel. 25, hkl 1 1 2; 2θ = 53.20°, d = 1.722 Å, rel. 16, hkl 1 2 -1; 2θ = 56.46°, d = 1.630 Å, rel. 17, hkl 0 2 2

Starting from DFT lattice parameters and positions (PBE), the powder XRD pattern of BaP2Pd8 was simulated for Cu Ka.

a = 5.4866 Å, b = 5.4866 Å, c = 16.4074 Å
α = 90.00°, β = 90.00°, γ = 90.00°
Space group I4/mmm (No. 139)
Unique sites:
Ba 0.0000 0.0000 0.0000 (multiplicity 2)
P 0.0000 0.5000 0.2500 (multiplicity 4)
Pd 0.2482 0.2482 0.3365 (multiplicity 16)

Main lines, in order of rising 2θ (10 to 90 degrees two-theta):
2θ = 10.78°, d = 8.204 Å, rel. 96, hkl 0 0 2; 2θ = 17.04°, d = 5.203 Å, rel. 19, hkl 1 0 1; 2θ = 32.64°, d = 2.743 Å, rel. 54, hkl 2 0 0; 2θ = 32.75°, d = 2.735 Å, rel. 51, hkl 0 0 6; 2θ = 34.47°, d = 2.602 Å, rel. 46, hkl 2 0 2; 2θ = 39.52°, d = 2.280 Å, rel. 65, hkl 2 0 4; 2θ = 46.88°, d = 1.938 Å, rel. 100, hkl 2 2 0; 2θ = 58.32°, d = 1.582 Å, rel. 38, hkl 2 2 6; 2θ = 77.90°, d = 1.226 Å, rel. 24, hkl 4 0 6; 2θ = 87.06°, d = 1.119 Å, rel. 17, hkl 4 2 6

Starting from DFT lattice parameters and positions (PBE), the powder XRD pattern of In2Hg was simulated for Cu Ka.

a = 11.7971 Å, b = 3.4744 Å, c = 8.1214 Å
α = 90.00°, β = 107.39°, γ = 90.00°
Space group Cm (No. 8)
Unique sites:
In 0.0000 0.0000 0.0000 (multiplicity 2)
In 0.0463 0.0000 0.5838 (multiplicity 2)
In 0.2125 0.5000 0.9144 (multiplicity 2)
In 0.3690 0.0000 0.2582 (multiplicity 2)
Hg 0.1591 0.5000 0.3311 (multiplicity 2)
Hg 0.3377 0.0000 0.6648 (multiplicity 2)

Main lines, in order of rising 2θ (10 to 90 degrees two-theta):
2θ = 30.21°, d = 2.959 Å, rel. 31, hkl 1 1 1; 2θ = 31.71°, d = 2.822 Å, rel. 36, hkl 2 0 2; 2θ = 33.29°, d = 2.692 Å, rel. 61, hkl 4 0 -2; 2θ = 33.97°, d = 2.639 Å, rel. 100, hkl 1 1 -2; 2θ = 34.73°, d = 2.583 Å, rel. 34, hkl 0 0 3; 2θ = 35.20°, d = 2.549 Å, rel. 90, hkl 3 1 0; 2θ = 37.10°, d = 2.423 Å, rel. 26, hkl 4 0 1; 2θ = 55.55°, d = 1.654 Å, rel. 27, hkl 3 1 3; 2θ = 59.12°, d = 1.563 Å, rel. 19, hkl 5 1 -4; 2θ = 63.76°, d = 1.460 Å, rel. 20, hkl 4 2 -2

Starting from DFT lattice parameters and positions (PBE), the powder XRD pattern of PmPr2Sm6 was simulated for Cu Ka.

a = 17.3698 Å, b = 9.9878 Å, c = 3.5498 Å
α = 90.00°, β = 90.08°, γ = 90.00°
Space group C2/m (No. 12)
Unique sites:
Pm 0.0000 0.0000 0.0000 (multiplicity 2)
Pr 0.1667 0.5000 0.0000 (multiplicity 4)
Sm 0.0000 0.3322 0.5000 (multiplicity 4)
Sm 0.1662 0.1667 0.5004 (multiplicity 8)

Main lines, in order of rising 2θ (10 to 90 degrees two-theta):
2θ = 30.89°, d = 2.895 Å, rel. 100, hkl 6 0 0; 2θ = 30.98°, d = 2.886 Å, rel. 55, hkl 3 3 0; 2θ = 44.26°, d = 2.046 Å, rel. 18, hkl 6 2 1; 2θ = 44.35°, d = 2.042 Å, rel. 9, hkl 0 4 1; 2θ = 54.93°, d = 1.672 Å, rel. 9, hkl 9 1 1; 2θ = 55.02°, d = 1.669 Å, rel. 25, hkl 9 3 0; 2θ = 55.14°, d = 1.666 Å, rel. 10, hkl 0 6 0; 2θ = 61.28°, d = 1.513 Å, rel. 16, hkl 6 0 2; 2θ = 61.34°, d = 1.511 Å, rel. 10, hkl 3 3 2; 2θ = 78.78°, d = 1.215 Å, rel. 8, hkl 9 3 2

Starting from DFT lattice parameters and positions (PBE), the powder XRD pattern of TaReGe was simulated for Cu Ka.

a = 7.2102 Å, b = 11.6674 Å, c = 6.8171 Å
α = 90.00°, β = 90.00°, γ = 90.00°
Space group Ima2 (No. 46)
Unique sites:
Ta 0.2500 0.0020 0.0000 (multiplicity 4)
Ta 0.2500 0.2223 0.6362 (multiplicity 4)
Ta 0.2500 0.6914 0.1149 (multiplicity 4)
Re 0.0000 0.0000 0.6623 (multiplicity 4)
Re 0.0417 0.6263 0.7851 (multiplicity 8)
Ge 0.0058 0.6675 0.4145 (multiplicity 8)
Ge 0.2500 0.0362 0.4021 (multiplicity 4)

Main lines, in order of rising 2θ (10 to 90 degrees two-theta):
2θ = 36.27°, d = 2.477 Å, rel. 41, hkl 2 0 2; 2θ = 36.45°, d = 2.465 Å, rel. 100, hkl 2 3 1; 2θ = 39.53°, d = 2.280 Å, rel. 74, hkl 2 2 2; 2θ = 39.75°, d = 2.268 Å, rel. 27, hkl 2 4 0; 2θ = 40.44°, d = 2.230 Å, rel. 34, hkl 0 1 3; 2θ = 40.70°, d = 2.217 Å, rel. 37, hkl 0 4 2; 2θ = 40.88°, d = 2.208 Å, rel. 30, hkl 0 5 1; 2θ = 46.27°, d = 1.962 Å, rel. 18, hkl 0 3 3; 2θ = 50.64°, d = 1.803 Å, rel. 25, hkl 4 0 0; 2θ = 62.94°, d = 1.477 Å, rel. 12, hkl 2 7 1

Starting from DFT lattice parameters and positions (PBE), the powder XRD pattern of Sn4P3O12 was simulated for Cu Ka.

a = 9.9771 Å, b = 9.9771 Å, c = 25.1745 Å
α = 90.00°, β = 90.00°, γ = 120.00°
Space group R3c (No. 161, hexagonal axes)
Unique sites:
Sn 0.0000 0.0000 0.0000 (multiplicity 6)
Sn 0.1778 0.3914 0.3084 (multiplicity 18)
P 0.0047 0.4867 0.1036 (multiplicity 18)
O 0.0006 0.1754 0.4516 (multiplicity 18)
O 0.0125 0.4490 0.5490 (multiplicity 18)
O 0.0189 0.2256 0.7666 (multiplicity 18)
O 0.0902 0.3621 0.9807 (multiplicity 18)

Main lines, in order of rising 2θ (10 to 90 degrees two-theta):
2θ = 21.18°, d = 4.196 Å, rel. 35, hkl 0 0 6; 2θ = 21.75°, d = 4.086 Å, rel. 100, hkl 2 0 2; 2θ = 25.00°, d = 3.562 Å, rel. 26, hkl 0 2 4; 2θ = 30.85°, d = 2.899 Å, rel. 16, hkl 2 1 4; 2θ = 35.29°, d = 2.544 Å, rel. 20, hkl 2 0 8; 2θ = 36.01°, d = 2.494 Å, rel. 20, hkl 2 2 0; 2θ = 37.89°, d = 2.375 Å, rel. 17, hkl 0 3 6; 2θ = 42.15°, d = 2.144 Å, rel. 11, hkl 2 2 6; 2θ = 45.49°, d = 1.994 Å, rel. 13, hkl 2 1 10; 2θ = 54.73°, d = 1.677 Å, rel. 11, hkl 2 3 8

Starting from DFT lattice parameters and positions (PBE), the powder XRD pattern of KTlTcBr6 was simulated for Cu Ka.

a = 7.8852 Å, b = 7.8852 Å, c = 12.4696 Å
α = 90.00°, β = 90.00°, γ = 120.00°
Space group P-31c (No. 163)
Unique sites:
K 0.3333 0.6667 0.2500 (multiplicity 2)
Tl 0.0000 0.0000 0.0000 (multiplicity 2)
Tc 0.3333 0.6667 0.7500 (multiplicity 2)
Br 0.0713 0.4051 0.6311 (multiplicity 12)

Main lines, in order of rising 2θ (10 to 90 degrees two-theta):
2θ = 14.79°, d = 5.989 Å, rel. 49, hkl 1 0 1; 2θ = 19.28°, d = 4.604 Å, rel. 100, hkl 1 0 2; 2θ = 26.75°, d = 3.332 Å, rel. 78, hkl 2 -1 2; 2θ = 29.83°, d = 2.995 Å, rel. 31, hkl 2 0 2; 2θ = 36.75°, d = 2.445 Å, rel. 72, hkl 1 1 4; 2θ = 37.72°, d = 2.385 Å, rel. 45, hkl 2 1 2; 2θ = 39.59°, d = 2.276 Å, rel. 35, hkl 3 0 0; 2θ = 41.17°, d = 2.193 Å, rel. 21, hkl 2 1 3; 2θ = 55.12°, d = 1.666 Å, rel. 20, hkl 4 -2 4; 2θ = 56.88°, d = 1.619 Å, rel. 22, hkl 3 -1 6

Starting from DFT lattice parameters and positions (PBE), the powder XRD pattern of Pm4RuPb was simulated for Cu Ka.

a = 8.9149 Å, b = 13.6770 Å, c = 6.3166 Å
α = 90.00°, β = 109.61°, γ = 90.00°
Space group C2/c (No. 15)
Unique sites:
Pm 0.1082 0.1685 0.0542 (multiplicity 8)
Pm 0.2185 0.4271 0.3783 (multiplicity 8)
Ru 0.0000 0.0007 0.7500 (multiplicity 4)
Pb 0.0000 0.3736 0.7500 (multiplicity 4)

Main lines, in order of rising 2θ (10 to 90 degrees two-theta):
2θ = 28.79°, d = 3.101 Å, rel. 31, hkl 1 3 1; 2θ = 29.02°, d = 3.077 Å, rel. 59, hkl 1 1 -2; 2θ = 31.10°, d = 2.876 Å, rel. 71, hkl 3 1 -1; 2θ = 32.68°, d = 2.740 Å, rel. 100, hkl 2 2 1; 2θ = 34.52°, d = 2.598 Å, rel. 78, hkl 1 3 -2; 2θ = 36.23°, d = 2.480 Å, rel. 30, hkl 1 5 -1; 2θ = 36.35°, d = 2.472 Å, rel. 29, hkl 3 3 -1; 2θ = 37.71°, d = 2.385 Å, rel. 26, hkl 3 3 0; 2θ = 45.23°, d = 2.005 Å, rel. 31, hkl 2 6 0; 2θ = 53.53°, d = 1.712 Å, rel. 27, hkl 4 2 -3